The following is a simulated powder diffractogram of MoRh2O6. It was derived from a structure optimized by DFT (PBE+U), using λ = 1.5418 Å (Cu Kα).
Lines closer than 0.1° are merged.

Atomic structure:
a = 4.618 Å, b = 4.618 Å, c = 9.452 Å
α = 90.00°, β = 90.00°, γ = 90.00°
Space group P4_2/mnm (No. 136)
Asymmetric unit:
Mo  0.000  0.000  0.000 x2
Rh  0.000  0.000  0.332 x4
O  0.194  0.194  0.165 x8
O  0.196  0.196  0.500 x4

Largest 8 diffraction maxima, by angle, 5° ≤ 2θ ≤ 70°:
- 27.31 deg, I 100
- 34.46 deg, I 79
- 39.01 deg, I 20
- 53.02 deg, I 65
- 56.35 deg, I 16
- 63.73 deg, I 14
- 65.82 deg, I 15
- 67.75 deg, I 19